(1)
# DyAg3Ge3
Simulated X-ray diffraction stick pattern, Cu Kα (weighted mean of Kα1 and Kα2). Input: DFT lattice parameters and positions (PBE).
Intensities are scaled so that the largest is 100.

Crystal structure
Cell: 7.0657 7.0657 7.0657 Å, 90.00 90.00 90.00°
Fractional positions:
Dy1 0.0000 0.0000 0.0000
Dy2 0.5000 0.5000 0.5000
Ag1 0.0000 0.2500 0.5000
Ag2 0.0000 0.7500 0.5000
Ag3 0.2500 0.5000 0.0000
Ag4 0.5000 0.0000 0.2500
Ag5 0.5000 0.0000 0.7500
Ag6 0.7500 0.5000 0.0000
Ge1 0.0000 0.5000 0.2500
Ge2 0.0000 0.5000 0.7500
Ge3 0.2500 0.0000 0.5000
Ge4 0.5000 0.2500 0.0000
Ge5 0.5000 0.7500 0.0000
Ge6 0.7500 0.0000 0.5000

Main lines, low angle first (10° ≤ 2θ ≤ 80°):
2θ (°)  d (Å)  I (rel.)
25.2  3.533  42
28.2  3.160  6
31.0  2.885  100
44.4  2.040  16
48.2  1.888  58
51.8  1.766  25
58.4  1.580  16
61.6  1.506  14
73.4  1.290  16
76.2  1.249  15

(2)
# Cs2NaCdBi2
Simulated X-ray diffraction stick pattern, Cu Kα (weighted mean of Kα1 and Kα2). Input: DFT lattice parameters and positions (PBE).
Intensities are scaled so that the largest is 100.

Crystal structure
Cell: 10.3851 10.3851 10.3851 Å, 136.74 62.46 137.24°
Fractional positions:
Cs1 0.1674 0.2425 0.4099
Cs2 0.3326 0.7425 0.0751
Cs3 0.6674 0.2575 0.9249
Cs4 0.8326 0.7575 0.5901
Na1 0.2500 0.2500 0.0000
Na2 0.7500 0.7500 0.0000
Cd1 0.2500 0.7500 0.5000
Cd2 0.7500 0.2500 0.5000
Bi1 0.0940 0.7236 0.8177
Bi2 0.4060 0.2236 0.6296
Bi3 0.5940 0.7764 0.3704
Bi4 0.9060 0.2764 0.1823

Main lines, low angle first (10° ≤ 2θ ≤ 80°):
2θ (°)  d (Å)  I (rel.)
12.6  7.031  20
23.2  3.828  32
23.5  3.786  34
26.0  3.426  100
30.8  2.899  36
31.0  2.881  38
33.3  2.692  63
42.6  2.124  24
42.9  2.109  27
44.1  2.052  37

(3)
# Mg6AlTl3
Simulated X-ray diffraction stick pattern, Cu Kα (weighted mean of Kα1 and Kα2). Input: DFT lattice parameters and positions (PBE).
Intensities are scaled so that the largest is 100.

Crystal structure
Cell: 3.3179 3.3179 25.1859 Å, 90.00 90.00 120.00°
Fractional positions:
Mg1 0.3333 0.6667 0.1020
Mg2 0.3333 0.6667 0.4074
Mg3 0.3333 0.6667 0.7973
Mg4 0.6667 0.3333 0.2027
Mg5 0.6667 0.3333 0.5926
Mg6 0.6667 0.3333 0.8980
Al1 0.0000 0.0000 0.5000
Tl1 0.0000 0.0000 0.0000
Tl2 0.0000 0.0000 0.3054
Tl3 0.0000 0.0000 0.6946

Main lines, low angle first (10° ≤ 2θ ≤ 80°):
2θ (°)  d (Å)  I (rel.)
10.5  8.395  100
31.1  2.873  35
32.9  2.719  62
34.3  2.614  20
35.6  2.519  16
37.9  2.371  30
40.2  2.245  25
48.0  1.894  20
57.4  1.606  18
67.6  1.385  14

(4)
# KLaSiC4N8
Simulated X-ray diffraction stick pattern, Cu Kα (weighted mean of Kα1 and Kα2). Input: DFT lattice parameters and positions (PBE).
Intensities are scaled so that the largest is 100.

Crystal structure
Cell: 7.7259 9.4936 6.9721 Å, 90.00 90.00 90.00°
Fractional positions:
K1 0.0000 0.0000 0.0940
K2 0.5000 0.5000 0.9060
La1 0.0000 0.5000 0.7417
La2 0.5000 0.0000 0.2583
Si1 0.0000 0.5000 0.2483
Si2 0.5000 0.0000 0.7517
C1 0.1743 0.2718 0.3654
C2 0.2142 0.7004 0.1277
C3 0.2858 0.2004 0.8723
C4 0.3257 0.7718 0.6346
C5 0.6743 0.2282 0.6346
C6 0.7142 0.7996 0.8723
C7 0.7858 0.2996 0.1277
C8 0.8257 0.7282 0.3654
N1 0.1000 0.3874 0.4073
N2 0.1336 0.5873 0.0883
N3 0.2084 0.3075 0.8435
N4 0.2430 0.1619 0.3297
N5 0.2570 0.6619 0.6703
N6 0.2916 0.8075 0.1565
N7 0.3664 0.0873 0.9117
N8 0.4000 0.8874 0.5927
N9 0.6000 0.1126 0.5927
N10 0.6336 0.9127 0.9117
N11 0.7084 0.1925 0.1565
N12 0.7430 0.3381 0.6703
N13 0.7570 0.8381 0.3297
N14 0.7916 0.6925 0.8435
N15 0.8664 0.4127 0.0883
N16 0.9000 0.6126 0.4073

Main lines, low angle first (10° ≤ 2θ ≤ 80°):
2θ (°)  d (Å)  I (rel.)
14.8  5.992  100
15.8  5.619  41
18.7  4.747  22
25.5  3.493  26
28.0  3.183  23
29.6  3.013  52
29.8  2.996  47
39.7  2.272  18
40.2  2.242  20
44.8  2.023  23